Ce3Zn5Au6: computed powder diffractogram (a wavelength of 1.5418 Å), based on a PBE-relaxed structure.
No peak broadening, texture or thermal motion is included.

Top 6 peaks for 2θ = 10–90°, in order of rising 2θ:
d_spacing  intensity  h k l
2.628  100.0  1 3 2
2.605  37.0  1 4 1
2.378  44.7  1 2 3
2.327  31.9  1 5 0
2.281  61.9  2 0 0
2.255  30.9  0 6 0

Structure:
```
data_Ce3Zn5Au6
_chemical_formula_sum 'Ce6 Zn10 Au12'
_symmetry_space_group_name_H-M 'P 1'
_symmetry_Int_Tables_number 1
_symmetry_space_group_name_Hall 'P 1'
_cell_length_a 4.561
_cell_length_b 13.527
_cell_length_c 9.173
_cell_angle_alpha 90.00
_cell_angle_beta 90.00
_cell_angle_gamma 90.00
loop_
_atom_site_label
_atom_site_fract_x
_atom_site_fract_y
_atom_site_fract_z
_atom_site_occupancy
Ce1 0.250 0.048 0.246 1
Ce2 0.250 0.452 0.246 1
Ce3 0.250 0.750 0.257 1
Ce4 0.750 0.250 0.743 1
Ce5 0.750 0.548 0.754 1
Ce6 0.750 0.952 0.754 1
Zn1 0.250 0.081 0.598 1
Zn2 0.250 0.419 0.598 1
Zn3 0.250 0.615 0.967 1
Zn4 0.250 0.750 0.757 1
Zn5 0.250 0.885 0.967 1
Zn6 0.750 0.115 0.033 1
Zn7 0.750 0.250 0.243 1
Zn8 0.750 0.385 0.033 1
Zn9 0.750 0.581 0.402 1
Zn10 0.750 0.919 0.402 1
Au1 0.250 0.086 0.880 1
Au2 0.250 0.250 0.073 1
Au3 0.250 0.250 0.445 1
Au4 0.250 0.414 0.880 1
Au5 0.250 0.615 0.541 1
Au6 0.250 0.885 0.541 1
Au7 0.750 0.115 0.459 1
Au8 0.750 0.385 0.459 1
Au9 0.750 0.586 0.120 1
Au10 0.750 0.750 0.555 1
Au11 0.750 0.750 0.927 1
Au12 0.750 0.914 0.120 1
```


CeZn2Au: computed powder diffractogram (a wavelength of 1.5418 Å), based on a PBE-relaxed structure.
No peak broadening, texture or thermal motion is included.

Top 6 peaks for 2θ = 10–90°, in order of rising 2θ:
d_spacing  intensity  h k l
3.612  16.0  0 0 2
3.274  19.9  1 0 0
2.426  100.0  1 0 2
2.315  48.3  1 1 0
1.637  16.4  2 0 0
1.357  31.6  2 1 2

Structure:
```
data_CeZn2Au
_chemical_formula_sum 'Ce1 Zn2 Au1'
_symmetry_space_group_name_H-M 'P 1'
_symmetry_Int_Tables_number 1
_symmetry_space_group_name_Hall 'P 1'
_cell_length_a 3.274
_cell_length_b 3.274
_cell_length_c 7.223
_cell_angle_alpha 90.00
_cell_angle_beta 90.00
_cell_angle_gamma 90.00
loop_
_atom_site_label
_atom_site_fract_x
_atom_site_fract_y
_atom_site_fract_z
_atom_site_occupancy
Ce1 0.000 0.000 0.000 1
Zn1 0.500 0.500 0.296 1
Zn2 0.500 0.500 0.704 1
Au1 0.000 0.000 0.500 1
```


AuCl3: computed powder diffractogram (a wavelength of 1.5418 Å), based on a PBE-relaxed structure.
No peak broadening, texture or thermal motion is included.

Top 6 peaks for 2θ = 10–90°, in order of rising 2θ:
d_spacing  intensity  h k l
6.157  91.7  1 0 0
5.296  23.4  1 1 -1
4.308  100.0  0 2 1
4.196  63.8  1 2 -1
3.105  35.1  1 2 1
2.685  25.2  0 4 1

Structure:
```
data_AuCl3
_chemical_formula_sum 'Au4 Cl12'
_symmetry_space_group_name_H-M 'P 1'
_symmetry_Int_Tables_number 1
_symmetry_space_group_name_Hall 'P 1'
_cell_length_a 6.897
_cell_length_b 11.913
_cell_length_c 6.989
_cell_angle_alpha 90.00
_cell_angle_beta 116.78
_cell_angle_gamma 90.00
loop_
_atom_site_label
_atom_site_fract_x
_atom_site_fract_y
_atom_site_fract_z
_atom_site_occupancy
Au1 0.042 0.086 0.219 1
Au2 0.042 0.414 0.719 1
Au3 0.958 0.586 0.281 1
Au4 0.958 0.914 0.781 1
Cl1 0.178 0.654 0.142 1
Cl2 0.178 0.846 0.642 1
Cl3 0.254 0.009 0.061 1
Cl4 0.254 0.491 0.561 1
Cl5 0.336 0.174 0.480 1
Cl6 0.336 0.326 0.980 1
Cl7 0.664 0.674 0.020 1
Cl8 0.664 0.826 0.520 1
Cl9 0.746 0.509 0.439 1
Cl10 0.746 0.991 0.939 1
Cl11 0.822 0.154 0.358 1
Cl12 0.822 0.346 0.858 1
```


Au3Cl: computed powder diffractogram (a wavelength of 1.5418 Å), based on a PBE-relaxed structure.
No peak broadening, texture or thermal motion is included.

Top 6 peaks for 2θ = 10–90°, in order of rising 2θ:
d_spacing  intensity  h k l
6.984  100.0  0 0 1
2.492  27.1  1 0 -2
2.483  27.3  1 0 2
2.472  69.9  1 1 0
2.454  68.5  0 1 2
2.330  48.7  1 1 -1

Structure:
```
data_Au3Cl
_chemical_formula_sum 'Au3 Cl1'
_symmetry_space_group_name_H-M 'P 1'
_symmetry_Int_Tables_number 1
_symmetry_space_group_name_Hall 'P 1'
_cell_length_a 3.544
_cell_length_b 3.450
_cell_length_c 6.984
_cell_angle_alpha 90.00
_cell_angle_beta 90.21
_cell_angle_gamma 90.00
loop_
_atom_site_label
_atom_site_fract_x
_atom_site_fract_y
_atom_site_fract_z
_atom_site_occupancy
Au1 0.000 0.000 0.000 1
Au2 0.498 0.500 0.798 1
Au3 0.502 0.500 0.202 1
Cl1 0.500 0.000 0.500 1
```


Au3Cl: computed powder diffractogram (a wavelength of 1.5418 Å), based on a PBE-relaxed structure.
No peak broadening, texture or thermal motion is included.

Top 6 peaks for 2θ = 10–90°, in order of rising 2θ:
d_spacing  intensity  h k l
2.681  36.9  0 2 0
2.333  100.0  1 1 2
2.226  21.7  0 0 4
1.712  19.4  0 2 4
1.471  23.7  1 3 2
1.305  15.8  1 1 6

Structure:
```
data_Au3Cl
_chemical_formula_sum 'Au6 Cl2'
_symmetry_space_group_name_H-M 'P 1'
_symmetry_Int_Tables_number 1
_symmetry_space_group_name_Hall 'P 1'
_cell_length_a 3.187
_cell_length_b 5.361
_cell_length_c 8.903
_cell_angle_alpha 90.00
_cell_angle_beta 90.00
_cell_angle_gamma 90.00
loop_
_atom_site_label
_atom_site_fract_x
_atom_site_fract_y
_atom_site_fract_z
_atom_site_occupancy
Au1 0.000 0.000 0.000 1
Au2 0.000 0.500 0.254 1
Au3 0.000 0.500 0.746 1
Au4 0.500 0.000 0.254 1
Au5 0.500 0.000 0.746 1
Au6 0.500 0.500 0.000 1
Cl1 0.000 0.000 0.500 1
Cl2 0.500 0.500 0.500 1
```


AuCl2: computed powder diffractogram (a wavelength of 1.5418 Å), based on a PBE-relaxed structure.
No peak broadening, texture or thermal motion is included.

Top 6 peaks for 2θ = 10–90°, in order of rising 2θ:
d_spacing  intensity  h k l
7.255  100.0  1 0 0
6.772  73.4  0 1 0
4.868  67.7  1 0 -1
4.629  95.5  -1 1 1
3.245  63.7  2 0 1
3.059  42.4  0 2 2

Structure:
```
data_AuCl2
_chemical_formula_sum 'Au4 Cl8'
_symmetry_space_group_name_H-M 'P 1'
_symmetry_Int_Tables_number 1
_symmetry_space_group_name_Hall 'P 1'
_cell_length_a 7.260
_cell_length_b 7.346
_cell_length_c 7.352
_cell_angle_alpha 67.21
_cell_angle_beta 88.11
_cell_angle_gamma 89.85
loop_
_atom_site_label
_atom_site_fract_x
_atom_site_fract_y
_atom_site_fract_z
_atom_site_occupancy
Au1 0.029 0.220 0.454 1
Au2 0.245 0.878 0.920 1
Au3 0.755 0.122 0.080 1
Au4 0.971 0.780 0.546 1
Cl1 0.193 0.591 0.199 1
Cl2 0.242 0.692 0.719 1
Cl3 0.253 0.060 0.116 1
Cl4 0.298 0.174 0.629 1
Cl5 0.702 0.826 0.371 1
Cl6 0.747 0.940 0.884 1
Cl7 0.758 0.308 0.281 1
Cl8 0.807 0.409 0.801 1
```


Au3Cl: computed powder diffractogram (a wavelength of 1.5418 Å), based on a PBE-relaxed structure.
No peak broadening, texture or thermal motion is included.

Top 6 peaks for 2θ = 10–90°, in order of rising 2θ:
d_spacing  intensity  h k l
6.001  51.7  0 0 1
2.977  29.5  1 0 1
2.424  37.5  0 1 2
2.412  100.0  1 1 1
2.056  21.0  0 2 0
1.979  28.0  1 1 2

Structure:
```
data_Au3Cl
_chemical_formula_sum 'Au3 Cl1'
_symmetry_space_group_name_H-M 'P 1'
_symmetry_Int_Tables_number 1
_symmetry_space_group_name_Hall 'P 1'
_cell_length_a 3.429
_cell_length_b 4.113
_cell_length_c 6.001
_cell_angle_alpha 90.00
_cell_angle_beta 90.00
_cell_angle_gamma 90.00
loop_
_atom_site_label
_atom_site_fract_x
_atom_site_fract_y
_atom_site_fract_z
_atom_site_occupancy
Au1 0.000 0.000 0.000 1
Au2 0.000 0.500 0.301 1
Au3 0.500 0.000 0.406 1
Cl1 0.500 0.500 0.777 1
```


AuCl2: computed powder diffractogram (a wavelength of 1.5418 Å), based on a PBE-relaxed structure.
No peak broadening, texture or thermal motion is included.

Top 6 peaks for 2θ = 10–90°, in order of rising 2θ:
d_spacing  intensity  h k l
6.390  100.0  0 0 2
4.011  70.0  0 2 0
3.397  47.0  0 2 2
3.223  45.9  1 1 1
2.624  79.4  1 1 3
2.028  35.2  1 1 5

Structure:
```
data_AuCl2
_chemical_formula_sum 'Au4 Cl8'
_symmetry_space_group_name_H-M 'P 1'
_symmetry_Int_Tables_number 1
_symmetry_space_group_name_Hall 'P 1'
_cell_length_a 3.661
_cell_length_b 8.022
_cell_length_c 12.779
_cell_angle_alpha 90.00
_cell_angle_beta 90.00
_cell_angle_gamma 90.00
loop_
_atom_site_label
_atom_site_fract_x
_atom_site_fract_y
_atom_site_fract_z
_atom_site_occupancy
Au1 0.000 0.000 0.000 1
Au2 0.000 0.500 0.500 1
Au3 0.500 0.000 0.500 1
Au4 0.500 0.500 0.000 1
Cl1 0.000 0.000 0.372 1
Cl2 0.000 0.000 0.628 1
Cl3 0.000 0.500 0.128 1
Cl4 0.000 0.500 0.872 1
Cl5 0.500 0.000 0.128 1
Cl6 0.500 0.000 0.872 1
Cl7 0.500 0.500 0.372 1
Cl8 0.500 0.500 0.628 1
```